Starting from a crystal structure in Alexandria, relaxed with GGA-PBE, the XRD peak list of Cs4PdI6 was computed for Cu Kα.

Most intense lines, 10 to 90 degrees two-theta, by angle:
d 7.514, rel. 51, hkl 1 0 1; d 3.532, rel. 100, hkl 2 1 2; d 3.278, rel. 50, hkl 3 1 0; d 3.140, rel. 24, hkl 3 1 1; d 3.042, rel. 24, hkl 2 2 2; d 2.727, rel. 29, hkl 0 0 4; d 2.514, rel. 16, hkl 4 1 0; d 2.318, rel. 19, hkl 4 2 0; d 2.096, rel. 27, hkl 3 1 4; d 1.692, rel. 21, hkl 2 1 6

Structural model:
```
data_Cs4PdI6
_symmetry_space_group_name_H-M 'P 4/m n c'
_symmetry_Int_Tables_number 128
_symmetry_space_group_name_Hall '-P 4 2n'
_cell_length_a 10.367
_cell_length_b 10.367
_cell_length_c 10.907
_cell_angle_alpha 90.00
_cell_angle_beta 90.00
_cell_angle_gamma 90.00
loop_
_atom_site_label
_atom_site_type_symbol
_atom_site_fract_x
_atom_site_fract_y
_atom_site_fract_z
_atom_site_occupancy
Cs1 Cs 0.172 0.328 0.250 1
Pd1 Pd 0.000 0.000 0.000 1
I1 I 0.000 0.000 0.265 1
I2 I 0.084 0.726 0.000 1
```

---

Starting from a crystal structure in Alexandria, relaxed with GGA-PBE, the XRD peak list of Cs3PdI8 was computed for Cu Kα.

Most intense lines, 10 to 90 degrees two-theta, by angle:
d 4.835, rel. 19, hkl 2 0 0; d 4.647, rel. 55, hkl 1 1 2; d 3.419, rel. 86, hkl 2 2 0; d 3.124, rel. 19, hkl 3 0 1; d 2.754, rel. 30, hkl 3 1 2; d 2.650, rel. 100, hkl 2 0 4; d 2.624, rel. 15, hkl 3 2 1; d 2.417, rel. 23, hkl 4 0 0; d 1.786, rel. 31, hkl 4 2 4; d 1.437, rel. 15, hkl 2 2 8

Structural model:
```
data_Cs3PdI8
_symmetry_space_group_name_H-M 'I 4/m m m'
_symmetry_Int_Tables_number 139
_symmetry_space_group_name_Hall '-I 4 2'
_cell_length_a 9.669
_cell_length_b 9.669
_cell_length_c 12.670
_cell_angle_alpha 90.00
_cell_angle_beta 90.00
_cell_angle_gamma 90.00
loop_
_atom_site_label
_atom_site_type_symbol
_atom_site_fract_x
_atom_site_fract_y
_atom_site_fract_z
_atom_site_occupancy
Cs1 Cs 0.000 0.000 0.000 1
Cs2 Cs 0.000 0.500 0.250 1
Pd1 Pd 0.000 0.000 0.500 1
I1 I 0.211 0.211 0.372 1
```

---

Starting from a crystal structure in Alexandria, relaxed with GGA-PBE, the XRD peak list of Cs3Pd2I7 was computed for Cu Kα.

Most intense lines, 10 to 90 degrees two-theta, by angle:
d 4.053, rel. 26, hkl 1 1 0; d 3.570, rel. 26, hkl 1 1 4; d 3.154, rel. 100, hkl 1 1 6; d 3.014, rel. 36, hkl 0 0 10; d 2.866, rel. 99, hkl 2 0 0; d 2.077, rel. 49, hkl 2 0 10; d 2.027, rel. 36, hkl 2 2 0; d 1.705, rel. 33, hkl 3 1 6; d 1.682, rel. 25, hkl 2 2 10; d 1.306, rel. 22, hkl 3 1 16

Structural model:
```
data_Cs3Pd2I7
_symmetry_space_group_name_H-M 'I 4/m m m'
_symmetry_Int_Tables_number 139
_symmetry_space_group_name_Hall '-I 4 2'
_cell_length_a 5.732
_cell_length_b 5.732
_cell_length_c 30.140
_cell_angle_alpha 90.00
_cell_angle_beta 90.00
_cell_angle_gamma 90.00
loop_
_atom_site_label
_atom_site_type_symbol
_atom_site_fract_x
_atom_site_fract_y
_atom_site_fract_z
_atom_site_occupancy
Cs1 Cs 0.000 0.000 0.000 1
Cs2 Cs 0.000 0.000 0.181 1
Pd1 Pd 0.000 0.000 0.406 1
I1 I 0.000 0.000 0.313 1
I2 I 0.000 0.000 0.500 1
I3 I 0.000 0.500 0.093 1
```

---

Starting from a crystal structure in Alexandria, relaxed with GGA-PBE, the XRD peak list of Cs2PuPdI6 was computed for Cu Kα.

Most intense lines, 10 to 90 degrees two-theta, by angle:
d 7.349, rel. 46, hkl 1 0 0; d 4.243, rel. 15, hkl 1 1 0; d 3.256, rel. 100, hkl 0 2 1; d 3.170, rel. 15, hkl 1 0 2; d 2.540, rel. 46, hkl 2 0 2; d 2.122, rel. 35, hkl 2 2 0; d 1.975, rel. 23, hkl 2 0 3; d 1.778, rel. 17, hkl 4 0 1; d 1.363, rel. 14, hkl 2 4 1; d 1.353, rel. 16, hkl 2 2 4

Structural model:
```
data_Cs2PuPdI6
_symmetry_space_group_name_H-M 'P -3 m 1'
_symmetry_Int_Tables_number 164
_symmetry_space_group_name_Hall '-P 3 2"'
_cell_length_a 8.4864
_cell_length_b 8.4864
_cell_length_c 7.0271
_cell_angle_alpha 90.00
_cell_angle_beta 90.00
_cell_angle_gamma 120.00
loop_
_atom_site_label
_atom_site_type_symbol
_atom_site_fract_x
_atom_site_fract_y
_atom_site_fract_z
_atom_site_occupancy
Cs1 Cs 0.3333 0.6667 0.2553 1
Pu1 Pu 0.0000 0.0000 0.5000 1
Pd1 Pd 0.0000 0.0000 0.0000 1
I1 I 0.1674 0.3349 0.7618 1
```